For Cu3SeS, a GGA-PBE-relaxed structure gives the theoretical powder XRD pattern in this record (Cu Kα, 1.54184 Å).
Lines closer than 0.1° are merged.

Most intense lines, 5° ≤ 2θ ≤ 70°, in order of falling intensity:
index	2θ (°)	I (rel.)
1 1 0	47.2	100.0
1 0 4	38.0	76.7
1 0 1	27.5	70.4
1 0 6	48.9	58.6
1 0 3	33.5	44.5
0 0 2	13.2	35.8
1 0 5	43.2	21.6
1 0 0	26.7	18.8
2 0 4	62.1	17.1
0 0 4	26.5	17.1

Atomic structure:
Cell: 3.8542 3.8542 13.4652 Å, 90.00 90.00 120.00°
Space group P6_3mc (No. 186)
Inequivalent atoms, fractional coordinates:
Cu: 0.0000 0.0000 0.0000 x2
Cu: 0.3333 0.6667 0.1239 x2
Cu: 0.3333 0.6667 0.7881 x2
Se: 0.0000 0.0000 0.2076 x2
S: 0.3333 0.6667 0.9545 x2

For Pu3Cd, a GGA-PBE-relaxed structure gives the theoretical powder XRD pattern in this record (Cu Kα, 1.54184 Å).
Lines closer than 0.1° are merged.

Most intense lines, 5° ≤ 2θ ≤ 70°, in order of falling intensity:
index	2θ (°)	I (rel.)
1 1 1	37.4	100.0
0 1 2	34.1	71.8
0 2 0	33.0	47.6
2 0 0	61.8	31.7
1 0 1	33.4	26.8
1 2 3	65.7	26.7
1 0 3	55.0	22.5
1 2 1	47.6	20.2
0 3 2	59.6	14.8
0 0 2	29.7	13.7

Atomic structure:
Cell: 3.0002 5.4299 6.0212 Å, 90.00 90.00 90.00°
Space group Pmm2 (No. 25)
Inequivalent atoms, fractional coordinates:
Pu: 0.0000 0.0000 0.0000 x1
Pu: 0.0000 0.5000 0.3241 x1
Pu: 0.5000 0.5000 0.8309 x1
Cd: 0.5000 0.0000 0.5093 x1

For Eu4B4O11F2, a GGA-PBE-relaxed structure gives the theoretical powder XRD pattern in this record (Cu Kα, 1.54184 Å).
Lines closer than 0.1° are merged.

Most intense lines, 5° ≤ 2θ ≤ 70°, in order of falling intensity:
index	2θ (°)	I (rel.)
3 1 2	29.8	100.0
3 1 -2	29.7	97.7
0 0 4	25.7	71.5
1 1 -4	32.6	67.1
1 1 0	19.7	66.2
3 1 6	48.0	58.5
0 2 4	46.3	46.1
4 0 2	28.6	39.0
4 0 -2	28.4	38.2
0 2 0	37.9	35.0

Atomic structure:
Cell: 14.0434 4.7527 13.8887 Å, 90.00 90.41 90.00°
Space group C2/c (No. 15)
Inequivalent atoms, fractional coordinates:
Eu: 0.0625 0.0131 0.3721 x8
Eu: 0.2219 0.0093 0.1273 x8
B: 0.0914 0.4624 0.2128 x8
B: 0.0943 0.4586 0.5273 x8
O: 0.0000 0.3393 0.2500 x4
O: 0.0765 0.1749 0.5377 x8
O: 0.0891 0.3644 0.1074 x8
O: 0.1013 0.2396 0.7265 x8
O: 0.1134 0.4417 0.9370 x8
O: 0.1700 0.3070 0.2578 x8
F: 0.2298 0.0219 0.4275 x8

For SmHgIO, a GGA-PBE-relaxed structure gives the theoretical powder XRD pattern in this record (Cu Kα, 1.54184 Å).
Lines closer than 0.1° are merged.

Most intense lines, 5° ≤ 2θ ≤ 70°, in order of falling intensity:
index	2θ (°)	I (rel.)
1 1 1	31.5	100.0
1 0 3	29.1	68.3
0 0 2	12.8	57.6
1 1 2	33.5	47.3
0 0 3	19.2	43.0
2 0 0	44.1	41.6
1 1 6	50.5	39.0
1 0 4	33.8	36.6
2 1 3	53.7	24.3
2 0 7	65.5	21.7

Atomic structure:
Cell: 4.1039 4.1039 13.8717 Å, 90.00 90.00 90.00°
Space group P4/nmm (No. 129, origin choice 2)
Inequivalent atoms, fractional coordinates:
Sm: 0.2500 0.2500 0.0801 x2
Hg: 0.2500 0.7500 0.5000 x2
I: 0.2500 0.2500 0.7821 x2
O: 0.2500 0.7500 0.0000 x2

For Th3Si4Os2, a GGA-PBE-relaxed structure gives the theoretical powder XRD pattern in this record (Cu Kα, 1.54184 Å).
Lines closer than 0.1° are merged.

Most intense lines, 5° ≤ 2θ ≤ 70°, in order of falling intensity:
index	2θ (°)	I (rel.)
3 1 0	33.1	100.0
1 1 -2	30.2	58.9
0 0 3	34.3	54.4
4 0 -2	34.5	49.9
0 2 0	42.7	44.0
2 0 1	23.1	41.6
1 1 -1	24.1	39.2
3 1 -1	32.3	38.3
3 1 -3	41.8	34.7
1 1 1	26.5	29.9

Atomic structure:
Cell: 11.0958 4.2357 8.2666 Å, 90.00 108.40 90.00°
Space group C2/m (No. 12)
Inequivalent atoms, fractional coordinates:
Th: 0.0000 0.0000 0.0000 x2
Th: 0.1156 0.5000 0.6968 x4
Si: 0.1058 0.0000 0.4004 x4
Si: 0.2149 0.5000 0.0759 x4
Os: 0.1938 0.5000 0.3594 x4

For Cs2KRb6S, a GGA-PBE-relaxed structure gives the theoretical powder XRD pattern in this record (Cu Kα, 1.54184 Å).
Lines closer than 0.1° are merged.

Most intense lines, 5° ≤ 2θ ≤ 70°, in order of falling intensity:
index	2θ (°)	I (rel.)
0 0 2	23.6	100.0
2 2 0	19.2	61.2
2 2 -2	21.5	57.0
0 4 2	33.6	26.9
1 3 1	25.0	19.7
2 2 -4	41.4	17.5
3 5 0	37.7	15.6
6 0 -2	35.7	15.5
3 1 2	43.3	13.1
4 4 -4	43.8	12.8

Atomic structure:
Cell: 15.2915 15.0927 9.8883 Å, 90.00 130.24 90.00°
Space group Cm (No. 8)
Inequivalent atoms, fractional coordinates:
Cs: 0.0000 0.2082 0.0000 x4
K: 0.0011 0.0000 0.5013 x2
Rb: 0.0005 0.2875 0.5003 x4
Rb: 0.1900 0.5000 0.9279 x2
Rb: 0.1908 0.5000 0.4526 x2
Rb: 0.3104 0.0000 0.5472 x2
Rb: 0.3114 0.0000 0.0728 x2
S: 0.0008 0.5000 0.5003 x2

For Sc5Ru3, a GGA-PBE-relaxed structure gives the theoretical powder XRD pattern in this record (Cu Kα, 1.54184 Å).
Lines closer than 0.1° are merged.

Most intense lines, 5° ≤ 2θ ≤ 70°, in order of falling intensity:
index	2θ (°)	I (rel.)
4 2 0	39.4	100.0
4 0 -2	36.9	71.6
2 4 -1	39.8	71.3
0 2 2	38.7	66.1
2 2 -2	35.6	53.8
1 3 0	27.6	52.9
2 2 1	34.3	48.7
5 1 -1	40.8	48.4
1 1 1	23.9	45.7
2 2 -1	25.2	38.7

Atomic structure:
Cell: 11.3465 10.2385 5.8163 Å, 90.00 115.94 90.00°
Space group C2/c (No. 15)
Inequivalent atoms, fractional coordinates:
Sc: 0.0000 0.0047 0.2500 x4
Sc: 0.0812 0.2886 0.5634 x8
Sc: 0.2104 0.4274 0.1992 x8
Ru: 0.0000 0.4951 0.7500 x4
Ru: 0.1567 0.1638 0.0874 x8

For BaAg8S5, a GGA-PBE-relaxed structure gives the theoretical powder XRD pattern in this record (Cu Kα, 1.54184 Å).
Lines closer than 0.1° are merged.

Most intense lines, 5° ≤ 2θ ≤ 70°, in order of falling intensity:
index	2θ (°)	I (rel.)
1 2 -3	31.3	100.0
1 4 -3	36.1	75.0
1 7 0	37.8	69.5
1 6 0	32.8	62.5
0 2 0	10.1	59.9
1 1 3	37.2	47.2
2 3 -3	36.3	42.8
2 5 -3	41.9	36.2
0 5 3	40.6	35.5
2 1 0	24.3	33.6

Atomic structure:
Cell: 7.8935 17.5630 9.0786 Å, 90.00 108.31 90.00°
Space group P2_1/m (No. 11)
Inequivalent atoms, fractional coordinates:
Ba: 0.0702 0.2500 0.2485 x2
Ba: 0.1076 0.2500 0.7890 x2
Ag: 0.0000 0.0000 0.0000 x2
Ag: 0.1298 0.5490 0.3518 x4
Ag: 0.1858 0.5487 0.7123 x4
Ag: 0.2484 0.0986 0.5759 x4
Ag: 0.3782 0.6625 0.2797 x4
Ag: 0.3887 0.6610 0.9576 x4
Ag: 0.4370 0.5052 0.1459 x4
Ag: 0.4386 0.6612 0.6286 x4
Ag: 0.5000 0.0000 0.5000 x2
S: 0.0982 0.6532 0.5263 x4
S: 0.1238 0.6354 0.0438 x4
S: 0.2708 0.0726 0.2975 x4
S: 0.2772 0.0699 0.8597 x4
S: 0.3857 0.2500 0.5692 x2
S: 0.4142 0.2500 0.1228 x2

For NdB4Rh7, a GGA-PBE-relaxed structure gives the theoretical powder XRD pattern in this record (Cu Kα, 1.54184 Å).
Lines closer than 0.1° are merged.

Most intense lines, 5° ≤ 2θ ≤ 70°, in order of falling intensity:
index	2θ (°)	I (rel.)
0 2 2	37.2	100.0
1 1 1	36.0	86.7
1 1 3	45.0	56.6
0 0 4	37.3	48.7
1 1 5	59.9	25.3
1 2 2	49.0	18.8
0 2 6	67.3	18.2
1 0 0	30.7	14.0
1 3 1	59.7	13.6
2 0 0	64.0	11.1

Atomic structure:
Cell: 2.9100 5.5855 9.6344 Å, 90.00 90.00 90.00°
Space group Pmmm (No. 47)
Inequivalent atoms, fractional coordinates:
Nd: 0.0000 0.0000 0.0000 x1
B: 0.0000 0.0000 0.3309 x2
B: 0.0000 0.5000 0.1655 x2
Rh: 0.0000 0.5000 0.5000 x1
Rh: 0.5000 0.0000 0.5000 x1
Rh: 0.5000 0.2583 0.2600 x4
Rh: 0.5000 0.5000 0.0000 x1

For ErAu5, a GGA-PBE-relaxed structure gives the theoretical powder XRD pattern in this record (Cu Kα, 1.54184 Å).
Lines closer than 0.1° are merged.

Most intense lines, 5° ≤ 2θ ≤ 70°, in order of falling intensity:
index	2θ (°)	I (rel.)
1 3 1	39.4	100.0
1 0 2	39.1	56.8
2 0 0	35.8	45.1
0 3 1	34.9	26.9
3 3 1	66.7	21.6
2 3 -1	50.8	18.8
0 3 3	62.2	18.1
0 0 2	34.6	9.5
0 6 0	62.7	8.9
2 0 2	50.6	6.6

Atomic structure:
Cell: 5.0214 8.8940 5.1777 Å, 90.00 90.02 90.00°
Space group P2_1/m (No. 11)
Inequivalent atoms, fractional coordinates:
Er: 0.2493 0.2500 0.4068 x2
Au: 0.2495 0.0802 0.9085 x4
Au: 0.2504 0.5861 0.4132 x4
Au: 0.2509 0.7500 0.9168 x2

For Li3Tl2Hg2, a GGA-PBE-relaxed structure gives the theoretical powder XRD pattern in this record (Cu Kα, 1.54184 Å).
Lines closer than 0.1° are merged.

Most intense lines, 5° ≤ 2θ ≤ 70°, in order of falling intensity:
index	2θ (°)	I (rel.)
0 1 2	26.6	100.0
1 2 1	38.0	64.6
1 0 1	26.4	51.0
3 1 1	61.9	23.7
2 2 2	47.1	22.0
2 1 0	38.1	21.7
0 1 -2	37.6	21.4
1 1 3	37.8	21.2
2 2 -2	54.8	14.7
0 2 0	46.8	11.2

Atomic structure:
Cell: 4.7246 4.7341 8.2435 Å, 73.39 89.65 60.22°
Space group P-1 (No. 2)
Inequivalent atoms, fractional coordinates:
Li: 0.0000 0.0000 0.0000 x1
Li: 0.2592 0.4819 0.7756 x2
Tl: 0.1271 0.7444 0.3863 x2
Hg: 0.3796 0.2410 0.1381 x2